1.
For LiO8, a PBE-relaxed structure gives the calculated PXRD pattern in this record (a wavelength of 1.5418 Å).
Intensities are scaled so that the largest is 100.

Structure:
Lattice parameters (Å, degrees): 4.6259 5.2703 5.6509 103.25 108.53 110.65
Fractional coordinates of all 9 atoms:
Li1 0.0000 0.0000 0.0000
O1 0.1220 0.2267 0.6029
O2 0.1386 0.6318 0.6104
O3 0.4184 0.9529 0.1997
O4 0.5072 0.4049 0.2644
O5 0.6423 0.9977 0.1086
O6 0.7346 0.4405 0.1842
O7 0.9008 0.1726 0.6922
O8 0.9194 0.6020 0.6988

Peak list (10 most intense, 5 to 70 degrees two-theta, by angle)
| 2θ (°) | d_spacing | I_rel |
| --- | --- | --- |
| 19.50 | 4.552 | 11.1 |
| 20.83 | 4.265 | 25.3 |
| 22.03 | 4.035 | 100.0 |
| 22.17 | 4.009 | 12.9 |
| 35.02 | 2.562 | 58.7 |
| 35.33 | 2.540 | 46.6 |
| 36.33 | 2.473 | 46.8 |
| 36.56 | 2.458 | 39.8 |
| 47.48 | 1.915 | 14.0 |
| 50.15 | 1.819 | 20.3 |

2.
For LiO8, a PBE-relaxed structure gives the calculated PXRD pattern in this record (a wavelength of 1.5418 Å).
Intensities are scaled so that the largest is 100.

Structure:
Lattice parameters (Å, degrees): 5.6737 5.6737 4.6493 110.77 110.77 68.88
Fractional coordinates of all 9 atoms:
Li1 0.0000 0.0000 0.0000
O1 0.1888 0.1888 0.8521
O2 0.2526 0.2526 0.1510
O3 0.2746 0.6612 0.8484
O4 0.3388 0.7254 0.1516
O5 0.6612 0.2746 0.8484
O6 0.7254 0.3388 0.1516
O7 0.7474 0.7474 0.8490
O8 0.8112 0.8112 0.1479

Peak list (10 most intense, 5 to 70 degrees two-theta, by angle)
| 2θ (°) | d_spacing | I_rel |
| --- | --- | --- |
| 21.17 | 4.197 | 100.0 |
| 32.83 | 2.728 | 20.9 |
| 34.79 | 2.579 | 12.6 |
| 35.12 | 2.555 | 65.9 |
| 36.09 | 2.489 | 50.3 |
| 38.61 | 2.332 | 34.4 |
| 42.81 | 2.112 | 12.2 |
| 43.65 | 2.074 | 17.6 |
| 46.77 | 1.942 | 8.0 |
| 66.38 | 1.408 | 8.2 |